# 1
# Pr2HgPb
Theoretical powder diffractogram, λ = 1.5418 Å (Cu Kα). Input: a cell relaxed with PBE.
Intensities are scaled so that the largest is 100.

Atomic structure:
a b c (Å): 7.8432 7.8432 7.8432
angles (deg): 90.00 90.00 90.00
Space group Fm-3m (No. 225)
Inequivalent atoms, fractional coordinates:
1 Pr 0.2500 0.2500 0.2500 x8
2 Hg 0.0000 0.0000 0.0000 x4
3 Pb 0.0000 0.0000 0.5000 x4

Largest 10 diffraction maxima, low angle first, 2θ = 15–90°:
2theta  d [Å]  Rel. int.  (hkl)
22.67  3.922  3  2 0 0
32.28  2.773  100  2 2 0
39.81  2.264  1  2 2 2
46.30  1.961  19  4 0 0
52.15  1.754  2  4 2 0
57.57  1.601  39  4 2 2
67.56  1.386  12  4 4 0
72.28  1.307  1  6 0 0
76.87  1.240  17  6 2 0
85.84  1.132  4  4 4 4


# 2
# Sm2HgPb
Theoretical powder diffractogram, λ = 1.5418 Å (Cu Kα). Input: a cell relaxed with PBE.
Intensities are scaled so that the largest is 100.

Atomic structure:
a b c (Å): 7.6973 7.6973 7.6973
angles (deg): 90.00 90.00 90.00
Space group Fm-3m (No. 225)
Inequivalent atoms, fractional coordinates:
1 Sm 0.2500 0.2500 0.2500 x8
2 Hg 0.0000 0.0000 0.0000 x4
3 Pb 0.0000 0.0000 0.5000 x4

Largest 10 diffraction maxima, low angle first, 2θ = 15–90°:
2theta  d [Å]  Rel. int.  (hkl)
23.11  3.849  2  2 0 0
32.91  2.721  100  2 2 0
40.60  2.222  1  2 2 2
47.23  1.924  18  4 0 0
53.22  1.721  1  4 2 0
58.77  1.571  39  4 2 2
69.02  1.361  12  4 4 0
73.87  1.283  1  6 0 0
78.61  1.217  17  6 2 0
87.88  1.111  4  4 4 4